Cr3ClO3: theoretical powder X-ray diffraction pattern (Cu Kα (weighted mean of Kα1 and Kα2)), based on DFT lattice parameters and positions (PBE+U).
Peak positions follow from Bragg's law for the DFT cell and can differ from measured ones.

Structure:
a b c (Å): 5.7737 5.9177 8.0083
angles (deg): 74.67 71.97 61.26
Atoms (fractional coordinates):
Cr 0.0093 0.2814 0.1395
Cr 0.2724 0.5818 0.2106
Cr 0.4305 0.9719 0.8391
Cr 0.5695 0.0281 0.1609
Cr 0.7276 0.4182 0.7894
Cr 0.9907 0.7186 0.8605
Cl 0.1699 0.2044 0.4165
Cl 0.8301 0.7956 0.5835
O 0.0663 0.3413 0.8763
O 0.3052 0.9178 0.1122
O 0.3453 0.6992 0.8037
O 0.6547 0.3008 0.1963
O 0.6948 0.0822 0.8878
O 0.9337 0.6587 0.1237

Largest 8 diffraction maxima, in order of rising 2θ, 2θ = 5–70°:
11.73°, 7.542 Å, I 100
23.58°, 3.772 Å, I 23
31.49°, 2.841 Å, I 39
32.91°, 2.721 Å, I 34
33.87°, 2.647 Å, I 35
35.72°, 2.514 Å, I 32
37.58°, 2.393 Å, I 16
40.80°, 2.211 Å, I 21